Starting from a crystal structure in Alexandria, relaxed with GGA-PBE, the PXRD pattern of LiCe3Ge6Pd2 was calculated for a wavelength of 1.5418 Å.
Kinematic intensities with the Lorentz-polarization factor, no thermal factor.

The 6 most intense peaks (5 to 70 degrees two-theta), by angle:
- 29.78 deg, 3.000 Å, rel. 783, hkl 1 1 0
- 33.89 deg, 2.645 Å, rel. 565, hkl 0 0 3
- 36.38 deg, 2.469 Å, rel. 1000, hkl 0 2 1
- 37.59 deg, 2.393 Å, rel. 554, hkl 1 1 2
- 41.55 deg, 2.174 Å, rel. 740, hkl 2 0 2
- 45.73 deg, 1.984 Å, rel. 414, hkl 1 1 3

Crystal structure
Unit cell a=6.0008 b=6.0008 c=7.9344 alpha=90.00 beta=90.00 gamma=120.00
Space group P-3m1 (No. 164)
Inequivalent atoms, fractional coordinates:
Li: 0.0000 0.0000 0.0000
Ce: 0.0000 0.0000 0.5000
Ce: 0.3333 0.6667 0.1374
Ge: 0.1867 0.3735 0.7938
Pd: 0.3333 0.6667 0.5279

***

Starting from a crystal structure in Alexandria, relaxed with GGA-PBE, the PXRD pattern of LiCeGe2Pd5 was calculated for a wavelength of 1.5418 Å.
Kinematic intensities with the Lorentz-polarization factor, no thermal factor.

The 6 most intense peaks (5 to 70 degrees two-theta), by angle:
- 9.54 deg, 9.266 Å, rel. 557, hkl 0 0 1
- 36.04 deg, 2.492 Å, rel. 1000, hkl 1 1 2
- 42.32 deg, 2.135 Å, rel. 446, hkl 1 1 3
- 43.29 deg, 2.090 Å, rel. 483, hkl 2 0 0
- 62.89 deg, 1.478 Å, rel. 156, hkl 2 2 0
- 67.56 deg, 1.387 Å, rel. 143, hkl 2 0 5

Crystal structure
Unit cell a=4.180 b=4.180 c=9.266 alpha=90.00 beta=90.00 gamma=90.00
Space group P4/mmm (No. 123)
Inequivalent atoms, fractional coordinates:
Li: 0.000 0.000 0.000
Ce: 0.000 0.000 0.500
Ge: 0.500 0.500 0.130
Pd: 0.000 0.500 0.274
Pd: 0.500 0.500 0.500

***

Starting from a crystal structure in Alexandria, relaxed with GGA-PBE, the PXRD pattern of LiCe2Ge3Pt6 was calculated for a wavelength of 1.5418 Å.
Kinematic intensities with the Lorentz-polarization factor, no thermal factor.

The 6 most intense peaks (5 to 70 degrees two-theta), by angle:
- 5.80 deg, 15.236 Å, rel. 1000, hkl 0 0 1
- 29.31 deg, 3.047 Å, rel. 195, hkl 0 0 5
- 31.49 deg, 2.841 Å, rel. 573, hkl 1 1 1
- 33.14 deg, 2.703 Å, rel. 304, hkl 1 1 2
- 44.30 deg, 2.045 Å, rel. 385, hkl 2 0 0
- 47.66 deg, 1.908 Å, rel. 261, hkl 1 1 6

Crystal structure
Unit cell a=4.089 b=4.089 c=15.236 alpha=90.00 beta=90.00 gamma=90.00
Space group P4/mmm (No. 123)
Inequivalent atoms, fractional coordinates:
Li: 0.000 0.000 0.000
Ce: 0.000 0.000 0.275
Ge: 0.500 0.500 0.183
Ge: 0.500 0.500 0.500
Pt: 0.000 0.500 0.096
Pt: 0.500 0.500 0.345